The following is a calculated XRD peak list of NaLuPd6O8. It was derived from a structure optimized by DFT (GGA-PBE), using Cu Kα, 1.54184 Å.
Peak positions follow from Bragg's law for the DFT cell and can differ from measured ones.

Top 8 peaks for 2θ = 5–70°, low angle first:
(1 0 0), 2θ = 15.24°, intensity 23; (2 0 0), 2θ = 30.75°, intensity 13; (2 1 0), 2θ = 34.49°, intensity 100; (2 1 1), 2θ = 37.90°, intensity 64; (2 2 2), 2θ = 54.68°, intensity 13; (3 0 2), 2θ = 57.11°, intensity 24; (3 1 2), 2θ = 59.48°, intensity 34; (4 0 0), 2θ = 64.05°, intensity 17

Structure:
```
16
Lattice="5.815 0.000 0.000 0.000 5.815 0.000 0.000 0.000 5.815" Properties=species:S:1:pos:R:3 pbc="T T T"
Na 0.000 0.000 0.000
Lu 2.908 2.908 2.908
Pd 0.000 2.908 1.460
Pd 0.000 2.908 4.355
Pd 1.460 0.000 2.908
Pd 2.908 1.460 0.000
Pd 2.908 4.355 0.000
Pd 4.355 0.000 2.908
O 1.533 1.533 1.533
O 1.533 1.533 4.282
O 1.533 4.282 1.533
O 1.533 4.282 4.282
O 4.282 1.533 1.533
O 4.282 1.533 4.282
O 4.282 4.282 1.533
O 4.282 4.282 4.282
```